(1)
# Th3Ga9Fe2
Simulated powder diffractogram, Cu Kα. Input: a crystal structure in Alexandria, relaxed with PBE.

Top 10 peaks for 15° ≤ 2θ ≤ 90°, in order of rising 2θ:
22.4°, I 22, (1 1 0)
23.3°, I 22, (0 1 3)
29.9°, I 39, (1 0 3)
34.2°, I 58, (1 3 0)
34.8°, I 34, (0 3 3)
35.1°, I 100, (1 2 3)
41.8°, I 34, (2 0 0)
43.8°, I 16, (0 0 6)
55.5°, I 18, (2 3 3)
64.6°, I 17, (1 6 3)

Crystal structure
Lattice parameters (Å, degrees): 4.323 9.885 12.405 90.00 90.00 90.00
Space group Immm (No. 71)
One atom of each set of equivalent atoms:
1 Th 0.000 0.000 0.000
2 Th 0.000 0.000 0.319
3 Ga 0.000 0.280 0.122
4 Ga 0.000 0.364 0.339
5 Ga 0.000 0.500 0.000
6 Fe 0.000 0.211 0.500

(2)
# ThGa3Fe
Simulated powder diffractogram, Cu Kα. Input: a crystal structure in Alexandria, relaxed with PBE.

Top 10 peaks for 15° ≤ 2θ ≤ 90°, in order of rising 2θ:
23.0°, I 28, (1 0 1)
28.7°, I 36, (1 1 0)
32.3°, I 26, (0 0 2)
36.4°, I 22, (1 0 2)
37.1°, I 100, (2 0 1)
47.0°, I 28, (2 0 2)
47.5°, I 23, (2 1 1)
59.4°, I 19, (2 2 0)
60.8°, I 24, (2 0 3)
69.2°, I 14, (2 2 2)

Crystal structure
Lattice parameters (Å, degrees): 6.2253 6.2253 5.5434 90.00 90.00 120.00
Space group P6_3/mmc (No. 194)
One atom of each set of equivalent atoms:
1 Th 0.3333 0.6667 0.2500
2 Ga 0.1898 0.3795 0.7500
3 Fe 0.0000 0.0000 0.0000

(3)
# Th6GaFe2
Simulated powder diffractogram, Cu Kα. Input: a crystal structure in Alexandria, relaxed with PBE.

Top 10 peaks for 15° ≤ 2θ ≤ 90°, in order of rising 2θ:
25.8°, I 37, (2 0 2)
27.0°, I 46, (0 1 3)
29.4°, I 33, (0 3 1)
30.7°, I 40, (3 1 0)
32.0°, I 100, (2 2 2)
33.5°, I 50, (2 1 3)
34.4°, I 67, (1 3 2)
35.5°, I 44, (2 3 1)
39.1°, I 60, (0 2 4)
61.0°, I 34, (5 3 2)

Crystal structure
Lattice parameters (Å, degrees): 9.162 9.513 10.552 90.00 90.00 90.00
Space group Immm (No. 71)
One atom of each set of equivalent atoms:
1 Th 0.000 0.196 0.240
2 Th 0.191 0.500 0.167
3 Th 0.205 0.320 0.500
4 Ga 0.000 0.000 0.000
5 Ga 0.000 0.000 0.500
6 Fe 0.000 0.343 0.000
7 Fe 0.000 0.500 0.368

(4)
# Th2GaFe
Simulated powder diffractogram, Cu Kα. Input: a crystal structure in Alexandria, relaxed with PBE.

Top 10 peaks for 15° ≤ 2θ ≤ 90°, in order of rising 2θ:
24.6°, I 55, (1 1 1)
30.1°, I 96, (1 1 -3)
30.2°, I 100, (2 0 -2)
31.8°, I 73, (0 2 1)
34.6°, I 30, (0 0 4)
37.0°, I 49, (1 1 3)
39.1°, I 26, (2 0 2)
40.4°, I 20, (0 2 3)
42.6°, I 66, (2 2 -1)
56.0°, I 24, (2 2 -5)

Crystal structure
Lattice parameters (Å, degrees): 6.180 5.844 10.805 90.00 106.57 90.00
Space group P2/c (No. 13)
One atom of each set of equivalent atoms:
1 Th 0.175 0.171 0.123
2 Th 0.291 0.356 0.835
3 Ga 0.347 0.150 0.434
4 Fe 0.143 0.340 0.583

> What is the formula in the second record?

ThGa3Fe